Computed X-ray diffraction stick pattern
Compound: TbHoV2O8
Radiation: Cu Kα (λ = 1.5418 Å)
Structure: a crystal structure in Alexandria, relaxed with PBE+U
Peak positions follow from Bragg's law for the DFT cell and can differ from measured ones.

The 8 most intense peaks (5° ≤ 2θ ≤ 70°), in order of rising 2θ:
| 2θ (°) | d [Å] | Rel. int. | hkl |
| --- | --- | --- | --- |
| 18.6 | 4.767 | 424 | 1 0 1 |
| 24.7 | 3.606 | 1000 | 2 0 0 |
| 33.2 | 2.696 | 709 | 1 1 2 |
| 35.2 | 2.550 | 218 | 2 2 0 |
| 40.1 | 2.248 | 153 | 3 0 1 |
| 49.2 | 1.852 | 594 | 3 1 2 |
| 50.6 | 1.803 | 158 | 4 0 0 |
| 61.9 | 1.499 | 174 | 3 3 2 |

Cell and atoms:
Unit cell a=7.211 b=7.211 c=6.353 alpha=90.00 beta=90.00 gamma=90.00
Space group I-4m2 (No. 119)
Unique sites:
Tb (0.000, 0.000, 0.000) (multiplicity 2)
Ho (0.000, 0.500, 0.750) (multiplicity 2)
V (0.000, 0.000, 0.500) (multiplicity 2)
V (0.000, 0.500, 0.250) (multiplicity 2)
O (0.000, 0.186, 0.675) (multiplicity 8)
O (0.000, 0.316, 0.073) (multiplicity 8)